Diffraction record for NpRh2. The powder diffraction line list is theoretical, not measured: it uses a DFT-relaxed cell (GGA-PBE, Alexandria) and Cu Kα.

Atomic structure:
Cell: 7.5033 7.5033 7.5033 Å, 90.00 90.00 90.00°
Space group Fd-3m (No. 227, origin choice 2)
Inequivalent atoms, fractional coordinates:
Np  0.1250  0.1250  0.1250 (multiplicity 8)
Rh  0.0000  0.0000  0.5000 (multiplicity 16)

Principal peaks in the range 2θ = 15–90°, sorted by position:
20.5 deg, d = 4.332 Å, I 7; 33.8 deg, d = 2.653 Å, I 58; 39.8 deg, d = 2.262 Å, I 100; 41.7 deg, d = 2.166 Å, I 18; 53.2 deg, d = 1.721 Å, I 2; 60.4 deg, d = 1.532 Å, I 23; 64.5 deg, d = 1.444 Å, I 33; 71.1 deg, d = 1.326 Å, I 25; 74.9 deg, d = 1.268 Å, I 2; 81.1 deg, d = 1.186 Å, I 10; 84.7 deg, d = 1.144 Å, I 12; 85.9 deg, d = 1.131 Å, I 6

Diffraction record for NpRuRh2. The powder diffraction line list is theoretical, not measured: it uses a DFT-relaxed cell (GGA-PBE, Alexandria) and Cu Kα.

Atomic structure:
```
data_NpRuRh2
_chemical_formula_sum 'Np1 Ru1 Rh2'
_symmetry_space_group_name_H-M 'P 4/m m m'
_symmetry_Int_Tables_number 123
_symmetry_space_group_name_Hall '-P 4 2'
_cell_length_a 3.9570
_cell_length_b 3.9570
_cell_length_c 4.1049
_cell_angle_alpha 90.00
_cell_angle_beta 90.00
_cell_angle_gamma 90.00
loop_
_atom_site_label
_atom_site_type_symbol
_atom_site_fract_x
_atom_site_fract_y
_atom_site_fract_z
Np1 Np 0.0000 0.0000 0.0000
Ru1 Ru 0.5000 0.5000 0.0000
Rh1 Rh 0.0000 0.5000 0.5000
```

Principal peaks in the range 2θ = 15–90°, sorted by position:
21.6 deg, d = 4.105 Å, I 5; 22.5 deg, d = 3.957 Å, I 11; 31.4 deg, d = 2.849 Å, I 10; 32.0 deg, d = 2.798 Å, I 4; 39.0 deg, d = 2.312 Å, I 100; 44.1 deg, d = 2.052 Å, I 18; 45.9 deg, d = 1.979 Å, I 31; 65.5 deg, d = 1.424 Å, I 22; 66.9 deg, d = 1.399 Å, I 10; 77.7 deg, d = 1.229 Å, I 13; 80.2 deg, d = 1.197 Å, I 25; 83.7 deg, d = 1.156 Å, I 11

Diffraction record for Np3Tl3RhS8. The powder diffraction line list is theoretical, not measured: it uses a DFT-relaxed cell (GGA-PBE, Alexandria) and Cu Kα.

Atomic structure:
```
data_Np3Tl3RhS8
_chemical_formula_sum 'Np6 Tl6 Rh2 S16'
_symmetry_space_group_name_H-M 'C 1 2/m 1'
_symmetry_Int_Tables_number 12
_cell_length_a 13.3889
_cell_length_b 7.7111
_cell_length_c 8.9279
_cell_angle_alpha 90.00
_cell_angle_beta 119.95
_cell_angle_gamma 90.00
loop_
_symmetry_equiv_pos_as_xyz
'x,y,z'
'-x,-y,-z'
'-x,y,-z'
'x,-y,z'
'x+1/2,y+1/2,z'
'-x+1/2,-y+1/2,-z'
'-x+1/2,y+1/2,-z'
'x+1/2,-y+1/2,z'
loop_
_atom_site_label
_atom_site_type_symbol
_atom_site_fract_x
_atom_site_fract_y
_atom_site_fract_z
Np1 Np 0.0000 0.0000 0.0000
Np2 Np 0.2500 0.2500 0.0000
Tl1 Tl 0.0000 0.5000 0.5000
Tl2 Tl 0.2500 0.2500 0.5000
Rh1 Rh 0.0000 0.5000 0.0000
S1 S 0.0161 0.2669 0.8147
S2 S 0.2165 0.5000 0.1845
S3 S 0.2348 0.0000 0.2023
```

Principal peaks in the range 2θ = 15–90°, sorted by position:
15.3 deg, d = 5.793 Å, I 20; 23.0 deg, d = 3.866 Å, I 45; 27.8 deg, d = 3.212 Å, I 63; 30.9 deg, d = 2.897 Å, I 100; 41.2 deg, d = 2.191 Å, I 43; 47.0 deg, d = 1.932 Å, I 31; 47.1 deg, d = 1.928 Å, I 11; 47.7 deg, d = 1.906 Å, I 22; 53.0 deg, d = 1.728 Å, I 19; 57.4 deg, d = 1.605 Å, I 11; 62.5 deg, d = 1.485 Å, I 11; 68.7 deg, d = 1.366 Å, I 16

Diffraction record for Np2URhS4. The powder diffraction line list is theoretical, not measured: it uses a DFT-relaxed cell (GGA-PBE, Alexandria) and Cu Kα.

Atomic structure:
```
data_Np2URhS4
_chemical_formula_sum 'Np4 U2 Rh2 S8'
_symmetry_space_group_name_H-M 'I -4 2 m'
_symmetry_Int_Tables_number 121
_symmetry_space_group_name_Hall 'I -4 2'
_cell_length_a 6.7228
_cell_length_b 6.7228
_cell_length_c 6.6304
_cell_angle_alpha 90.00
_cell_angle_beta 90.00
_cell_angle_gamma 90.00
loop_
_atom_site_label
_atom_site_type_symbol
_atom_site_fract_x
_atom_site_fract_y
_atom_site_fract_z
Np1 Np 0.0000 0.5000 0.0000
U1 U 0.0000 0.0000 0.0000
Rh1 Rh 0.0000 0.0000 0.5000
S1 S 0.2042 0.2042 0.2956
```

Principal peaks in the range 2θ = 15–90°, sorted by position:
26.5 deg, d = 3.361 Å, I 75; 26.9 deg, d = 3.315 Å, I 36; 37.9 deg, d = 2.377 Å, I 51; 38.1 deg, d = 2.360 Å, I 100; 47.0 deg, d = 1.932 Å, I 37; 54.6 deg, d = 1.681 Å, I 16; 61.7 deg, d = 1.503 Å, I 18; 61.9 deg, d = 1.499 Å, I 18; 62.5 deg, d = 1.487 Å, I 18; 68.5 deg, d = 1.369 Å, I 33; 69.1 deg, d = 1.360 Å, I 16; 87.6 deg, d = 1.114 Å, I 16

Diffraction record for Np3Sb4Rh8. The powder diffraction line list is theoretical, not measured: it uses a DFT-relaxed cell (GGA-PBE, Alexandria) and Cu Kα.

Atomic structure:
```
data_Np3Sb4Rh8
_chemical_formula_sum 'Np24 Sb32 Rh64'
_symmetry_space_group_name_H-M 'F m -3 m'
_symmetry_Int_Tables_number 225
_symmetry_space_group_name_Hall '-F 4 2 3'
_cell_length_a 13.0357
_cell_length_b 13.0357
_cell_length_c 13.0357
_cell_angle_alpha 90.00
_cell_angle_beta 90.00
_cell_angle_gamma 90.00
loop_
_atom_site_label
_atom_site_type_symbol
_atom_site_fract_x
_atom_site_fract_y
_atom_site_fract_z
Np1 Np 0.0000 0.0000 0.2282
Sb1 Sb 0.0000 0.0000 0.0000
Sb2 Sb 0.0000 0.0000 0.5000
Sb3 Sb 0.0000 0.2500 0.2500
Rh1 Rh 0.1206 0.1206 0.3794
Rh2 Rh 0.1638 0.1638 0.1638
```

Principal peaks in the range 2θ = 15–90°, sorted by position:
27.4 deg, d = 3.259 Å, I 11; 30.7 deg, d = 2.915 Å, I 12; 33.7 deg, d = 2.661 Å, I 10; 35.8 deg, d = 2.509 Å, I 28; 39.1 deg, d = 2.304 Å, I 100; 41.6 deg, d = 2.173 Å, I 8; 56.5 deg, d = 1.629 Å, I 11; 63.9 deg, d = 1.457 Å, I 9; 68.7 deg, d = 1.367 Å, I 8; 70.8 deg, d = 1.330 Å, I 23; 75.4 deg, d = 1.260 Å, I 9; 84.0 deg, d = 1.152 Å, I 8

Diffraction record for Np2Sb3Rh5. The powder diffraction line list is theoretical, not measured: it uses a DFT-relaxed cell (GGA-PBE, Alexandria) and Cu Kα.

Atomic structure:
```
data_Np2Sb3Rh5
_chemical_formula_sum 'Np8 Sb12 Rh20'
_symmetry_space_group_name_H-M 'C m c 21'
_symmetry_Int_Tables_number 36
_cell_length_a 4.3639
_cell_length_b 25.0223
_cell_length_c 7.2495
_cell_angle_alpha 90.00
_cell_angle_beta 90.00
_cell_angle_gamma 90.00
loop_
_symmetry_equiv_pos_as_xyz
'x,y,z'
'-x,-y,z+1/2'
'-x,y,z'
'x,-y,z+1/2'
'x+1/2,y+1/2,z'
'-x+1/2,-y+1/2,z+1/2'
'-x+1/2,y+1/2,z'
'x+1/2,-y+1/2,z+1/2'
loop_
_atom_site_label
_atom_site_type_symbol
_atom_site_fract_x
_atom_site_fract_y
_atom_site_fract_z
Np1 Np 0.0000 0.0082 0.0000
Np2 Np 0.0000 0.3244 0.0345
Sb1 Sb 0.0000 0.1093 0.7703
Sb2 Sb 0.0000 0.2788 0.6015
Sb3 Sb 0.0000 0.4403 0.7573
Rh1 Rh 0.0000 0.1025 0.4082
Rh2 Rh 0.0000 0.2081 0.8882
Rh3 Rh 0.0000 0.2189 0.3051
Rh4 Rh 0.0000 0.3756 0.4628
Rh5 Rh 0.0000 0.4501 0.1466
```

Principal peaks in the range 2θ = 15–90°, sorted by position:
24.6 deg, d = 3.621 Å, I 16; 32.3 deg, d = 2.770 Å, I 24; 32.7 deg, d = 2.736 Å, I 36; 33.9 deg, d = 2.644 Å, I 100; 34.7 deg, d = 2.584 Å, I 63; 38.0 deg, d = 2.365 Å, I 22; 38.4 deg, d = 2.345 Å, I 49; 41.1 deg, d = 2.199 Å, I 17; 41.4 deg, d = 2.182 Å, I 54; 44.2 deg, d = 2.049 Å, I 37; 53.7 deg, d = 1.706 Å, I 18; 57.5 deg, d = 1.604 Å, I 17

Diffraction record for NpRhSe3. The powder diffraction line list is theoretical, not measured: it uses a DFT-relaxed cell (GGA-PBE, Alexandria) and Cu Kα.

Atomic structure:
```
data_NpRhSe3
_chemical_formula_sum 'Np4 Rh4 Se12'
_symmetry_space_group_name_H-M 'A m a 2'
_symmetry_Int_Tables_number 40
_cell_length_a 4.0280
_cell_length_b 20.2321
_cell_length_c 6.0389
_cell_angle_alpha 90.00
_cell_angle_beta 90.00
_cell_angle_gamma 90.00
loop_
_symmetry_equiv_pos_as_xyz
'x,y,z'
'-x,-y,z'
'-x+1/2,y,z'
'x+1/2,-y,z'
'x,y+1/2,z+1/2'
'-x,-y+1/2,z+1/2'
'-x+1/2,y+1/2,z+1/2'
'x+1/2,-y+1/2,z+1/2'
loop_
_atom_site_label
_atom_site_type_symbol
_atom_site_fract_x
_atom_site_fract_y
_atom_site_fract_z
Np1 Np 0.2500 0.1612 0.0000
Rh1 Rh 0.2500 0.3320 0.0066
Se1 Se 0.2500 0.0973 0.3958
Se2 Se 0.2500 0.2510 0.6546
Se3 Se 0.2500 0.4163 0.3315
```

Principal peaks in the range 2θ = 15–90°, sorted by position:
17.5 deg, d = 5.058 Å, I 43; 27.0 deg, d = 3.306 Å, I 47; 29.6 deg, d = 3.019 Å, I 23; 29.8 deg, d = 3.001 Å, I 37; 30.9 deg, d = 2.893 Å, I 19; 34.6 deg, d = 2.592 Å, I 29; 34.8 deg, d = 2.581 Å, I 100; 40.1 deg, d = 2.249 Å, I 36; 41.2 deg, d = 2.189 Å, I 64; 45.0 deg, d = 2.014 Å, I 28; 50.9 deg, d = 1.794 Å, I 43; 61.8 deg, d = 1.500 Å, I 21